[1]
Diffraction record for RbSr3Rh. The PXRD pattern is simulated, not measured: it uses the PBE geometry in Alexandria and copper Kα.
Lines closer than 0.1° are merged.

Most intense lines, 2θ from 10° to 90°, low angle first:
h k l  2theta  Rel. int.
0 1 1  17.66  352
0 1 2  24.42  363
1 1 0  24.73  424
1 0 2  27.77  1000
0 2 0  29.78  460
1 1 3  38.62  219
2 0 0  40.06  203
1 2 2  41.17  682
1 2 3  46.98  193
2 2 0  50.71  203

Atomic structure:
Cell: 4.501 6.000 9.176 Å, 90.00 90.00 90.00°
Space group Pmmm (No. 47)
Asymmetric unit:
Rb: 0.000 0.000 0.000
Sr: 0.000 0.000 0.500
Sr: 0.500 0.500 0.290
Rh: 0.000 0.500 0.500

***

[2]
Diffraction record for CeErTh3. The PXRD pattern is simulated, not measured: it uses the PBE geometry in Alexandria and copper Kα.
Lines closer than 0.1° are merged.

Most intense lines, 2θ from 10° to 90°, low angle first:
h k l  2theta  Rel. int.
1 0 3  30.64  858
0 0 10  31.14  653
1 0 4  31.75  1000
1 0 6  34.76  637
1 0 7  36.60  582
1 0 13  50.96  195
1 1 0  51.68  493
1 0 14  53.77  274
1 1 10  61.57  579
1 1 20  87.51  407

Atomic structure:
Cell: 3.5378 3.5378 28.7217 Å, 90.00 90.00 120.00°
Space group P6_3mc (No. 186)
Asymmetric unit:
Ce: 0.3333 0.6667 0.0000
Er: 0.0000 0.0000 0.3036
Th: 0.0000 0.0000 0.0990
Th: 0.3333 0.6667 0.4031
Th: 0.3333 0.6667 0.7002

***

[3]
Diffraction record for Ho4Ga16Pt3. The PXRD pattern is simulated, not measured: it uses the PBE geometry in Alexandria and copper Kα.
Lines closer than 0.1° are merged.

Most intense lines, 2θ from 10° to 90°, low angle first:
h k l  2theta  Rel. int.
1 1 0  20.20  260
1 1 1  21.76  275
2 0 0  28.72  179
1 1 3  31.69  624
2 0 3  37.87  1000
2 2 0  41.06  829
2 0 4  43.84  336
3 1 3  52.78  264
4 0 0  59.47  260
4 2 3  72.70  246

Atomic structure:
Cell: 6.217 6.217 11.051 Å, 90.00 90.00 90.00°
Space group P4/mmm (No. 123)
Asymmetric unit:
Ho: 0.000 0.500 0.191
Ga: 0.000 0.000 0.202
Ga: 0.210 0.210 0.000
Ga: 0.247 0.247 0.375
Ga: 0.500 0.500 0.231
Pt: 0.000 0.500 0.500
Pt: 0.500 0.500 0.000

***

[4]
Diffraction record for HfMo2W6. The PXRD pattern is simulated, not measured: it uses the PBE geometry in Alexandria and copper Kα.
Lines closer than 0.1° are merged.

Most intense lines, 2θ from 10° to 90°, low angle first:
h k l  2theta  Rel. int.
1 3 0  32.51  157
3 1 0  35.14  328
2 2 2  36.58  217
1 2 3  38.56  1000
2 1 3  39.43  543
3 2 1  40.85  356
0 4 0  41.03  165
1 4 1  43.90  251
4 2 0  50.06  137
2 5 3  66.18  129

Atomic structure:
Cell: 8.007 8.799 8.802 Å, 90.00 90.00 90.00°
Space group Ibam (No. 72)
Asymmetric unit:
Hf: 0.000 0.000 0.250
Mo: 0.066 0.167 0.000
W: 0.142 0.347 0.324
W: 0.227 0.412 0.000

***

[5]
Diffraction record for YBeSb4. The PXRD pattern is simulated, not measured: it uses the PBE geometry in Alexandria and copper Kα.
Lines closer than 0.1° are merged.

Most intense lines, 2θ from 10° to 90°, low angle first:
h k l  2theta  Rel. int.
1 1 1  17.62  564
3 1 1  34.11  1000
2 2 2  35.68  713
4 0 0  41.43  219
3 3 1  45.34  154
5 1 1  54.71  338
4 4 0  60.03  320
5 3 3  70.88  114
6 2 2  71.83  268
5 5 3  85.57  210

Atomic structure:
Cell: 8.718 8.718 8.718 Å, 90.00 90.00 90.00°
Space group F-43m (No. 216)
Asymmetric unit:
Y: 0.000 0.000 0.000
Be: 0.250 0.250 0.250
Sb: 0.124 0.124 0.624

***

[6]
Diffraction record for Pm3ErAg6. The PXRD pattern is simulated, not measured: it uses the PBE geometry in Alexandria and copper Kα.
Lines closer than 0.1° are merged.

Most intense lines, 2θ from 10° to 90°, low angle first:
h k l  2theta  Rel. int.
2 0 0  16.68  204
2 2 0  23.67  433
2 2 2  29.10  522
4 0 0  33.73  1000
4 2 2  41.62  199
4 4 0  48.44  707
6 2 2  57.51  210
4 4 4  60.33  239
8 0 0  70.93  110
8 4 0  80.89  307

Atomic structure:
Cell: 10.630 10.630 10.630 Å, 90.00 90.00 90.00°
Space group Fm-3m (No. 225)
Asymmetric unit:
Pm: 0.000 0.000 0.000
Pm: 0.250 0.250 0.250
Er: 0.000 0.000 0.500
Ag: 0.000 0.000 0.254